# Ni2SnPtO6
Calculated powder X-ray diffraction pattern, Cu Ka. Input: a DFT-relaxed cell (PBE+U, Alexandria).
Kinematic intensities with the Lorentz-polarization factor, no thermal factor.

Atomic structure:
```
data_Ni2SnPtO6
_chemical_formula_sum 'Ni2 Sn1 Pt1 O6'
_space_group_name_H-M_alt 'P 1'
_space_group_IT_number 1
_space_group_name_Hall 'P 1'
_cell_length_a 5.7590
_cell_length_b 5.7590
_cell_length_c 4.0684
_cell_angle_alpha 90.00
_cell_angle_beta 90.00
_cell_angle_gamma 90.00
loop_
_atom_site_label
_atom_site_fract_x
_atom_site_fract_y
_atom_site_fract_z
Ni1 0.0000 0.5000 0.0000
Ni2 0.5000 0.0000 0.0000
Sn1 0.0000 0.0000 0.7632
Pt1 0.5000 0.5000 0.8154
O1 0.0000 0.0000 0.2840
O2 0.2522 0.2522 0.8765
O3 0.2522 0.7478 0.8765
O4 0.5000 0.5000 0.3217
O5 0.7478 0.2522 0.8765
O6 0.7478 0.7478 0.8765
```

Peak list (8 most intense, 10° ≤ 2θ ≤ 90°, sorted by position)
- d = 4.070 Å, 21.84 deg, I 99, hkl 0 0 1
- d = 2.879 Å, 31.06 deg, I 100, hkl 2 0 0
- d = 2.350 Å, 38.29 deg, I 27, hkl 2 0 1
- d = 2.036 Å, 44.50 deg, I 39, hkl 2 2 0
- d = 1.820 Å, 50.11 deg, I 67, hkl 1 1 2
- d = 1.662 Å, 55.27 deg, I 24, hkl 3 1 1
- d = 1.357 Å, 69.24 deg, I 36, hkl 3 1 2
- d = 1.287 Å, 73.57 deg, I 21, hkl 4 2 0